Starting from a cell relaxed with GGA-PBE, the powder diffractogram of PrSn3Au6 was computed for a wavelength of 1.5418 Å.
Intensities are scaled so that the largest is 1000.

Structural model:
```
data_PrSn3Au6
_space_group_name_H-M_alt 'R 3 m'
_space_group_IT_number 160
_space_group_name_Hall 'R 3 -2"'
_cell_length_a 10.5582
_cell_length_b 10.5582
_cell_length_c 7.7676
_cell_angle_alpha 90.00
_cell_angle_beta 90.00
_cell_angle_gamma 120.00
loop_
_atom_site_label
_atom_site_fract_x
_atom_site_fract_y
_atom_site_fract_z
Pr1 0.0000 0.0000 0.0000
Sn1 0.1021 0.2043 0.3555
Au1 0.1721 0.3442 0.8320
Au2 0.1781 0.0890 0.6620
```

Principal peaks in the range 15° ≤ 2θ ≤ 90°, low angle first:
d [Å]	I (rel.)	index
3.575	205	0 1 2
3.048	231	3 0 0
2.960	920	2 0 2
2.411	1000	1 3 1
2.325	232	1 1 3
2.193	257	4 0 1
2.123	275	3 1 2
1.848	240	2 2 3
1.787	181	0 2 4
1.579	187	4 2 2

Starting from a cell relaxed with GGA-PBE, the powder diffractogram of Sr2Tb4Sb3N2 was computed for a wavelength of 1.5418 Å.
Intensities are scaled so that the largest is 1000.

Structural model:
```
data_Sr2Tb4Sb3N2
_space_group_name_H-M_alt 'I 4/m m m'
_space_group_IT_number 139
_space_group_name_Hall '-I 4 2'
_cell_length_a 4.775
_cell_length_b 4.775
_cell_length_c 25.838
_cell_angle_alpha 90.00
_cell_angle_beta 90.00
_cell_angle_gamma 90.00
loop_
_atom_site_label
_atom_site_fract_x
_atom_site_fract_y
_atom_site_fract_z
Sr1 0.000 0.000 0.194
Tb1 0.000 0.500 0.082
Sb1 0.000 0.000 0.329
Sb2 0.000 0.000 0.500
N1 0.000 0.000 0.092
```

Principal peaks in the range 15° ≤ 2θ ≤ 90°, low angle first:
d [Å]	I (rel.)	index
3.267	325	1 1 2
3.230	120	0 0 8
2.992	132	1 1 4
2.920	124	1 0 7
2.657	1000	1 1 6
2.387	474	2 0 0
1.920	109	2 0 8
1.688	162	2 2 0
1.599	161	2 0 12
1.425	294	3 1 6